[1]
Starting from DFT lattice parameters and positions (GGA-PBE), the X-ray diffraction stick pattern of Cs7AgBr5 was computed for Cu Kα.

Peak list (8 most intense, 2θ from 10° to 80°, by angle)
2theta	I (rel.)	index
22.2	83.4	0 1 -7
23.7	100.0	1 2 -2
24.5	94.7	1 2 3
24.8	32.0	0 1 -8
33.7	35.1	1 0 -10
34.1	41.1	1 3 -5
34.6	44.8	2 1 0
41.5	41.7	2 0 7

Cell and atoms:
```
data_Cs7AgBr5
_chemical_formula_sum 'Cs14 Ag2 Br10'
_space_group_name_H-M_alt 'P 1'
_space_group_IT_number 1
_space_group_name_Hall 'P 1'
_cell_length_a 5.182
_cell_length_b 9.105
_cell_length_c 31.508
_cell_angle_alpha 89.92
_cell_angle_beta 89.99
_cell_angle_gamma 73.47
loop_
_atom_site_label
_atom_site_type_symbol
_atom_site_fract_x
_atom_site_fract_y
_atom_site_fract_z
Cs1 Cs 0.000 0.000 0.000
Cs2 Cs 0.000 0.000 0.713
Cs3 Cs 0.091 0.813 0.432
Cs4 Cs 0.092 0.811 0.281
Cs5 Cs 0.273 0.451 0.071
Cs6 Cs 0.273 0.452 0.642
Cs7 Cs 0.371 0.257 0.356
Cs8 Cs 0.448 0.101 0.856
Cs9 Cs 0.545 0.906 0.142
Cs10 Cs 0.545 0.908 0.571
Cs11 Cs 0.727 0.546 0.781
Cs12 Cs 0.727 0.547 0.932
Cs13 Cs 0.819 0.357 0.213
Cs14 Cs 0.819 0.360 0.500
Ag1 Ag 0.117 0.765 0.856
Ag2 Ag 0.702 0.592 0.357
Br1 Br 0.183 0.630 0.177
Br2 Br 0.183 0.632 0.535
Br3 Br 0.366 0.266 0.747
Br4 Br 0.366 0.267 0.965
Br5 Br 0.452 0.090 0.248
Br6 Br 0.452 0.093 0.465
Br7 Br 0.635 0.727 0.677
Br8 Br 0.636 0.727 0.035
Br9 Br 0.909 0.178 0.106
Br10 Br 0.909 0.180 0.606
```

[2]
Starting from DFT lattice parameters and positions (GGA-PBE), the X-ray diffraction stick pattern of Cs3Ag2Br9 was computed for Cu Kα.

Peak list (8 most intense, 2θ from 10° to 80°, by angle)
2theta	I (rel.)	index
22.9	22.4	1 0 2
23.2	18.1	1 1 0
28.0	21.9	0 0 3
28.4	66.4	2 0 1
32.8	100.0	0 2 2
46.8	35.0	2 0 4
47.4	35.1	2 2 0
55.9	18.2	2 2 3

Cell and atoms:
```
data_Cs3Ag2Br9
_chemical_formula_sum 'Cs3 Ag2 Br9'
_space_group_name_H-M_alt 'P 1'
_space_group_IT_number 1
_space_group_name_Hall 'P 1'
_cell_length_a 7.673
_cell_length_b 7.673
_cell_length_c 9.571
_cell_angle_alpha 90.00
_cell_angle_beta 90.00
_cell_angle_gamma 120.00
loop_
_atom_site_label
_atom_site_type_symbol
_atom_site_fract_x
_atom_site_fract_y
_atom_site_fract_z
Cs1 Cs 0.000 0.000 0.000
Cs2 Cs 0.333 0.667 0.346
Cs3 Cs 0.667 0.333 0.654
Ag1 Ag 0.333 0.667 0.833
Ag2 Ag 0.667 0.333 0.167
Br1 Br 0.000 0.500 0.000
Br2 Br 0.168 0.336 0.679
Br3 Br 0.168 0.832 0.679
Br4 Br 0.336 0.168 0.321
Br5 Br 0.500 0.000 0.000
Br6 Br 0.500 0.500 0.000
Br7 Br 0.664 0.832 0.679
Br8 Br 0.832 0.168 0.321
Br9 Br 0.832 0.664 0.321
```